Record 1
Calculated XRD peak list
Compound: Li4I3Br
Radiation: Cu Kα (weighted mean of Kα1 and Kα2)
Structure: the GGA-PBE geometry in Alexandria

Crystal structure
a b c (Å): 5.908 5.908 5.908
angles (deg): 90.00 90.00 90.00
Space group Pm-3m (No. 221)
Symmetry-distinct sites (fractional):
Li 0.000 0.000 0.000 (multiplicity 1)
Li 0.000 0.500 0.500 (multiplicity 3)
I 0.000 0.000 0.500 (multiplicity 3)
Br 0.500 0.500 0.500 (multiplicity 1)

Largest 10 diffraction maxima, in order of rising 2θ, 10° ≤ 2θ ≤ 90°:
two_theta	I (rel.)
26.12	100
30.26	61
43.32	45
51.29	46
53.75	16
62.93	7
69.33	18
71.40	20
79.47	15
85.38	15



Record 2
Calculated XRD peak list
Compound: LiIBr5
Radiation: Cu Kα (weighted mean of Kα1 and Kα2)
Structure: the GGA-PBE geometry in Alexandria

Crystal structure
a b c (Å): 7.787 8.070 9.706
angles (deg): 99.07 98.26 114.06
Space group P-1 (No. 2)
Symmetry-distinct sites (fractional):
Li 0.000 0.000 0.000 (multiplicity 1)
Li 0.500 0.000 0.000 (multiplicity 1)
I 0.157 0.580 0.253 (multiplicity 2)
Br 0.102 0.324 0.869 (multiplicity 2)
Br 0.121 0.785 0.789 (multiplicity 2)
Br 0.358 0.238 0.060 (multiplicity 2)
Br 0.448 0.913 0.281 (multiplicity 2)
Br 0.457 0.425 0.372 (multiplicity 2)

Largest 10 diffraction maxima, in order of rising 2θ, 10° ≤ 2θ ≤ 90°:
two_theta	I (rel.)
12.37	41
14.07	54
19.03	51
20.91	46
23.31	100
28.51	75
28.64	26
31.58	52
31.78	35
41.02	26



Record 3
Calculated XRD peak list
Compound: LiMgIBr2
Radiation: Cu Kα (weighted mean of Kα1 and Kα2)
Structure: the GGA-PBE geometry in Alexandria

Crystal structure
a b c (Å): 7.022 4.171 10.372
angles (deg): 90.00 91.12 90.00
Space group P2_1/m (No. 11)
Symmetry-distinct sites (fractional):
Li 0.093 0.250 0.418 (multiplicity 2)
Mg 0.251 0.750 0.997 (multiplicity 2)
I 0.413 0.250 0.835 (multiplicity 2)
Br 0.087 0.250 0.137 (multiplicity 2)
Br 0.237 0.750 0.495 (multiplicity 2)

Largest 10 diffraction maxima, in order of rising 2θ, 10° ≤ 2θ ≤ 90°:
two_theta	I (rel.)
25.77	49
26.38	100
26.65	49
30.16	95
31.04	44
42.96	20
43.27	33
43.39	19
44.38	36
51.63	34



Record 4
Calculated XRD peak list
Compound: Na3Li2I3Br2
Radiation: Cu Kα (weighted mean of Kα1 and Kα2)
Structure: the GGA-PBE geometry in Alexandria

Crystal structure
a b c (Å): 4.600 4.600 29.945
angles (deg): 90.00 90.00 90.00
Space group I4/mmm (No. 139)
Symmetry-distinct sites (fractional):
Na 0.000 0.000 0.000 (multiplicity 2)
Na 0.000 0.000 0.394 (multiplicity 4)
Li 0.000 0.500 0.250 (multiplicity 4)
I 0.000 0.000 0.111 (multiplicity 4)
I 0.000 0.000 0.500 (multiplicity 2)
Br 0.000 0.000 0.288 (multiplicity 4)

Largest 10 diffraction maxima, in order of rising 2θ, 10° ≤ 2θ ≤ 90°:
two_theta	I (rel.)
23.77	15
24.40	100
27.42	70
29.84	19
36.60	16
39.17	28
40.97	34
46.69	34
50.00	17
72.20	12